Entry 1:
Simulated powder diffraction line list of Ac3Nd3Ni4 for CuKα, from a PBE-relaxed structure.
Peak positions follow from Bragg's law for the DFT cell and can differ from measured ones.

Most intense lines, 2θ = 15–90°, by angle:
| 2theta | I (rel.) | (hkl) |
| --- | --- | --- |
| 26.93 | 40 | 1 2 0 |
| 31.35 | 100 | 1 2 2 |
| 33.12 | 68 | 1 3 1 |
| 33.49 | 73 | 1 1 3 |
| 34.94 | 56 | 0 4 2 |
| 35.48 | 52 | 0 2 4 |
| 44.85 | 31 | 2 0 0 |
| 58.08 | 31 | 2 4 2 |

Structure:
a = 4.0420 Å, b = 11.5409 Å, c = 11.2601 Å
α = 90.00°, β = 90.00°, γ = 90.00°
Space group Amm2 (No. 38)
Inequivalent atoms, fractional coordinates:
Ac1 0.0000 0.0000 0.0000
Ac2 0.5000 0.2419 0.4076
Nd1 0.0000 0.0000 0.3219
Nd2 0.0000 0.1560 0.6601
Ni1 0.5000 0.0000 0.5451
Ni2 0.5000 0.0000 0.7719
Ni3 0.5000 0.1170 0.1663



Entry 2:
Simulated powder diffraction line list of AcNd3O6 for CuKα, from a PBE-relaxed structure.
Peak positions follow from Bragg's law for the DFT cell and can differ from measured ones.

Most intense lines, 2θ = 15–90°, by angle:
| 2theta | I (rel.) | (hkl) |
| --- | --- | --- |
| 28.03 | 47 | 0 2 0 |
| 28.32 | 100 | 1 1 1 |
| 28.44 | 95 | 1 1 -3 |
| 29.17 | 45 | 2 0 -2 |
| 40.90 | 42 | 2 2 -2 |
| 49.81 | 60 | 1 3 -3 |
| 51.12 | 23 | 3 1 -1 |
| 51.34 | 24 | 3 1 -5 |

Structure:
a = 6.1233 Å, b = 6.3657 Å, c = 10.8262 Å
α = 90.00°, β = 124.11°, γ = 90.00°
Space group P2_1/c (No. 14)
Inequivalent atoms, fractional coordinates:
Ac1 0.0000 0.0000 0.0000
Nd1 0.2213 0.0373 0.7230
Nd2 0.5000 0.0000 0.5000
O1 0.1238 0.1569 0.4627
O2 0.2017 0.6978 0.3860
O3 0.4188 0.1102 0.2639